Structure and simulated powder XRD pattern of Er3TmPt4 (DFT lattice parameters and positions (PBE); λ = 1.5418 Å (Cu Kα)).
Intensities are scaled so that the largest is 100.

Largest 6 diffraction maxima, by angle, 15 to 90 degrees two-theta:
2θ 29.89, I = 100
2θ 36.22, I = 96
2θ 36.85, I = 47
2θ 38.26, I = 45
2θ 40.66, I = 68
2θ 48.64, I = 64

Crystal structure
```
Er3TmPt4
1.0
3.747 0.000 0.000
0.000 6.577 0.000
0.000 0.000 15.110
Er Tm Pt
6 2 8
Direct
0.000 0.000 0.000
0.000 0.500 0.200
0.000 0.500 0.800
0.500 0.000 0.300
0.500 0.000 0.700
0.500 0.500 0.500
0.000 0.000 0.500
0.500 0.500 0.000
0.000 0.293 0.372
0.000 0.293 0.628
0.000 0.707 0.372
0.000 0.707 0.628
0.500 0.207 0.128
0.500 0.207 0.872
0.500 0.793 0.128
0.500 0.793 0.872
```

Structure and simulated powder XRD pattern of ErTm5Pt6 (DFT lattice parameters and positions (PBE); λ = 1.5418 Å (Cu Kα)).
Intensities are scaled so that the largest is 100.

Largest 6 diffraction maxima, by angle, 15 to 90 degrees two-theta:
2θ 36.84, I = 100
2θ 53.09, I = 18
2θ 66.37, I = 36
2θ 78.35, I = 4
2θ 78.43, I = 8
2θ 89.87, I = 11

Crystal structure
```
ErTm5Pt6
1.0
-2.442 3.446 7.320
2.442 -3.446 7.320
2.442 3.446 -7.320
Er Tm Pt
1 5 6
Direct
0.000 0.000 0.000
0.167 0.667 0.500
0.333 0.333 0.000
0.500 0.000 0.500
0.667 0.667 0.000
0.833 0.333 0.500
0.083 0.833 0.251
0.251 0.500 0.751
0.418 0.167 0.251
0.582 0.833 0.749
0.749 0.500 0.249
0.917 0.167 0.749
```

Structure and simulated powder XRD pattern of Y2Er2Pt3 (DFT lattice parameters and positions (PBE); λ = 1.5418 Å (Cu Kα)).
Intensities are scaled so that the largest is 100.

Largest 6 diffraction maxima, by angle, 15 to 90 degrees two-theta:
2θ 32.54, I = 100
2θ 38.72, I = 57
2θ 46.68, I = 19
2θ 53.71, I = 24
2θ 66.20, I = 28
2θ 81.23, I = 21

Crystal structure
```
Y2Er2Pt3
1.0
-4.351 4.351 4.351
4.351 -4.351 4.351
4.351 4.351 -4.351
Y Er Pt
4 4 6
Direct
0.000 0.129 0.500
0.129 0.500 0.000
0.371 0.371 0.371
0.500 0.000 0.129
0.000 0.627 0.500
0.500 0.000 0.627
0.627 0.500 0.000
0.873 0.873 0.873
0.122 0.872 0.250
0.250 0.122 0.872
0.378 0.628 0.750
0.628 0.750 0.378
0.750 0.378 0.628
0.872 0.250 0.122
```

Structure and simulated powder XRD pattern of YEr3Pt12 (DFT lattice parameters and positions (PBE); λ = 1.5418 Å (Cu Kα)).
Intensities are scaled so that the largest is 100.

Largest 6 diffraction maxima, by angle, 15 to 90 degrees two-theta:
2θ 37.94, I = 100
2θ 44.03, I = 33
2θ 44.22, I = 16
2θ 64.17, I = 22
2θ 76.90, I = 26
2θ 77.17, I = 13

Crystal structure
```
YEr3Pt12
1.0
4.113 0.000 0.000
0.000 4.113 0.000
0.000 0.000 16.386
Y Er Pt
1 3 12
Direct
0.000 0.000 0.000
0.000 0.000 0.251
0.000 0.000 0.500
0.000 0.000 0.749
0.000 0.500 0.127
0.000 0.500 0.375
0.000 0.500 0.625
0.000 0.500 0.873
0.500 0.000 0.127
0.500 0.000 0.375
0.500 0.000 0.625
0.500 0.000 0.873
0.500 0.500 0.000
0.500 0.500 0.251
0.500 0.500 0.500
0.500 0.500 0.749
```